Structure and calculated XRD peak list of ErCdF6 (a DFT-relaxed cell (GGA-PBE, Alexandria); λ = 1.5418 Å (Cu Kα)).
Lines closer than 0.1° are merged.

a b c (Å): 3.425 6.942 10.268
angles (deg): 90.00 90.00 90.00
Space group Amm2 (No. 38)
Inequivalent atoms, fractional coordinates:
Er1 0.000 0.000 0.000 [2 per cell]
Cd1 0.500 0.000 0.525 [2 per cell]
F1 0.000 0.000 0.663 [2 per cell]
F2 0.000 0.191 0.430 [4 per cell]
F3 0.500 0.000 0.867 [2 per cell]
F4 0.500 0.169 0.102 [4 per cell]

Most intense lines, 15° ≤ 2θ ≤ 90°, by angle:
2θ 17.3, rel. 100, hkl 0 0 2; 2θ 25.7, rel. 30, hkl 0 2 0; 2θ 30.4, rel. 55, hkl 1 1 1; 2θ 31.1, rel. 30, hkl 0 2 2; 2θ 39.4, rel. 52, hkl 1 1 3; 2θ 48.3, rel. 30, hkl 1 3 1

***

Structure and calculated XRD peak list of Pm2Ga4Ag5 (a DFT-relaxed cell (GGA-PBE, Alexandria); λ = 1.5418 Å (Cu Kα)).
Lines closer than 0.1° are merged.

a b c (Å): 12.110 5.922 8.541
angles (deg): 90.00 132.25 90.00
Space group C2/m (No. 12)
Inequivalent atoms, fractional coordinates:
Pm1 0.209 0.000 0.252 [4 per cell]
Ga1 0.222 0.000 0.615 [4 per cell]
Ga2 0.241 0.500 0.047 [4 per cell]
Ag1 0.000 0.500 0.000 [2 per cell]
Ag2 0.008 0.258 0.692 [8 per cell]

Most intense lines, 15° ≤ 2θ ≤ 90°, by angle:
2θ 33.5, rel. 99, hkl 4 0 -3; 2θ 36.4, rel. 100, hkl 2 2 0; 2θ 37.0, rel. 43, hkl 2 2 -2; 2θ 39.8, rel. 41, hkl 1 1 -3; 2θ 40.2, rel. 45, hkl 4 0 0; 2θ 45.0, rel. 35, hkl 2 2 -3

***

Number 2 is which compound? Pm2Ga4Ag5